No. 1
AcSiSn: computed powder diffractogram (Cu Kα, 1.54184 Å), based on a DFT-relaxed cell (PBE, Alexandria).
Intensities are scaled so that the largest is 100.

Largest 10 diffraction maxima, low angle first, 2θ from 15° to 90°:
2θ (°)	I (rel.)
20.4	20
23.2	40
27.2	41
28.9	58
29.8	100
30.6	56
37.4	32
37.6	32
38.6	29
42.3	27

Structural model:
```
6
Lattice="4.269 0.000 0.000 2.118 6.187 0.000 2.110 -0.457 6.562" Properties=species:S:1:pos:R:3 pbc="T T T"
Ac 1.059 1.364 1.495
Ac 7.438 4.365 5.067
Si 3.189 4.031 0.740
Si 5.308 1.698 5.823
Sn 3.178 0.973 4.335
Sn 5.319 4.756 2.227
```

No. 2
Na2SiHPd6: computed powder diffractogram (Cu Kα, 1.54184 Å), based on a DFT-relaxed cell (PBE, Alexandria).
Intensities are scaled so that the largest is 100.

Largest 10 diffraction maxima, low angle first, 2θ from 15° to 90°:
2θ (°)	I (rel.)
20.7	62
29.4	13
36.0	100
36.4	99
42.0	77
42.1	38
60.9	24
61.0	23
61.5	12
72.8	21

Structural model:
```
10
Lattice="4.291 -4.302 0.000 4.291 4.302 0.000 -4.221 0.000 4.304" Properties=species:S:1:pos:R:3 pbc="T T T"
Na 4.291 2.181 0.000
Na 4.291 -2.181 0.000
Si -2.111 0.000 2.152
H 2.180 0.000 2.152
Pd 2.180 2.015 2.152
Pd 2.174 0.000 0.136
Pd 0.177 0.000 2.176
Pd 4.184 0.000 2.128
Pd 2.187 0.000 4.168
Pd 2.180 -2.015 2.152
```

No. 3
Mg2Al2O5: computed powder diffractogram (Cu Kα, 1.54184 Å), based on a DFT-relaxed cell (PBE, Alexandria).
Intensities are scaled so that the largest is 100.

Largest 10 diffraction maxima, low angle first, 2θ from 15° to 90°:
2θ (°)	I (rel.)
35.2	20
35.7	100
38.5	15
43.9	27
50.7	72
52.1	18
63.5	38
64.5	24
74.5	19
75.7	22

Structural model:
```
9
Lattice="3.602 0.000 0.000 0.000 3.602 0.000 0.000 0.000 7.018" Properties=species:S:1:pos:R:3 pbc="T T T"
Mg 0.000 0.000 0.000
Mg 0.000 0.000 3.509
Al 1.801 1.801 1.717
Al 1.801 1.801 5.300
O 0.000 1.801 1.382
O 0.000 1.801 5.636
O 1.801 0.000 1.382
O 1.801 0.000 5.636
O 1.801 1.801 3.509
```